No. 1
Calculated powder diffractogram
Compound: Cd3In6Hg14
Radiation: Cu Kα (λ = 1.5418 Å)
Structure: a cell relaxed with GGA-PBE
Lines closer than 0.1° are merged.

Main lines, low angle first (2θ from 5° to 70°):
- hkl 0 2 2, 2θ 33.46, d 2.678, I = 100
- hkl 2 2 0, 2θ 34.91, d 2.570, I = 85
- hkl 2 1 2, 2θ 37.88, d 2.375, I = 13
- hkl 4 0 2, 2θ 49.13, d 1.854, I = 28
- hkl 2 0 4, 2θ 58.85, d 1.569, I = 16
- hkl 2 4 2, 2θ 61.68, d 1.504, I = 24

Cell: 10.2792 10.2792 6.7073 Å, 90.00 90.00 120.00°
Fractional positions:
Cd 0.0000 0.0000 0.0000
Cd 0.3333 0.6667 0.3088
Cd 0.6667 0.3333 0.1802
In 0.1593 0.3185 0.1831
In 0.1593 0.8407 0.1831
In 0.3663 0.1831 0.8798
In 0.6815 0.8407 0.1831
In 0.8169 0.1831 0.8798
In 0.8169 0.6337 0.8798
Hg 0.0192 0.5096 0.0333
Hg 0.0247 0.5124 0.5314
Hg 0.1349 0.2698 0.6772
Hg 0.1349 0.8651 0.6772
Hg 0.3239 0.1619 0.3752
Hg 0.3333 0.6667 0.7994
Hg 0.4876 0.5124 0.5314
Hg 0.4876 0.9753 0.5314
Hg 0.4904 0.5096 0.0333
Hg 0.4904 0.9808 0.0333
Hg 0.6667 0.3333 0.6346
Hg 0.7302 0.8651 0.6772
Hg 0.8381 0.1619 0.3752
Hg 0.8381 0.6761 0.3752

No. 2
Calculated powder diffractogram
Compound: Cd3In8Hg8
Radiation: Cu Kα (λ = 1.5418 Å)
Structure: a cell relaxed with GGA-PBE
Lines closer than 0.1° are merged.

Main lines, low angle first (2θ from 5° to 70°):
- hkl 1 1 3, 2θ 28.72, d 3.108, I = 31
- hkl 0 2 -2, 2θ 32.97, d 2.717, I = 100
- hkl -2 1 2, 2θ 34.94, d 2.568, I = 44
- hkl 0 1 4, 2θ 35.04, d 2.561, I = 43
- hkl 2 1 3, 2θ 36.87, d 2.438, I = 39
- hkl 0 3 3, 2θ 37.57, d 2.394, I = 36

Cell: 6.4375 8.1624 10.2914 Å, 73.68 84.87 88.11°
Fractional positions:
Cd 0.0000 0.0000 0.0000
Cd 0.0399 0.6326 0.7826
Cd 0.9601 0.3674 0.2174
In 0.2923 0.3033 0.9772
In 0.3518 0.9905 0.7880
In 0.3631 0.4051 0.6545
In 0.3655 0.8123 0.5455
In 0.6345 0.1877 0.4545
In 0.6369 0.5949 0.3455
In 0.6482 0.0095 0.2120
In 0.7077 0.6967 0.0228
Hg 0.1464 0.1911 0.4950
Hg 0.1628 0.6106 0.3457
Hg 0.1858 0.0199 0.2559
Hg 0.2494 0.6586 0.0337
Hg 0.7506 0.3414 0.9663
Hg 0.8142 0.9801 0.7441
Hg 0.8372 0.3894 0.6543
Hg 0.8536 0.8089 0.5050